No. 1
Computed X-ray powder pattern
Compound: FeP3H6O9
Radiation: CuKα
Structure: a structure optimized by DFT (GGA+U)

abc: 13.783 6.472 9.881
angles: 90.00 105.86 90.00
Space group Cc (No. 9)
Symmetry-distinct sites (fractional):
Fe (0.000, 0.100, 0.000) (multiplicity 4)
P (0.152, 0.092, 0.323) (multiplicity 4)
P (0.338, 0.470, 0.697) (multiplicity 4)
P (0.497, 0.088, 0.078) (multiplicity 4)
H (0.093, 0.302, 0.781) (multiplicity 4)
H (0.128, 0.275, 0.382) (multiplicity 4)
H (0.213, 0.312, 0.101) (multiplicity 4)
H (0.285, 0.308, 0.738) (multiplicity 4)
H (0.313, 0.162, 0.365) (multiplicity 4)
H (0.411, 0.063, 0.125) (multiplicity 4)
O (0.007, 0.407, 0.984) (multiplicity 4)
O (0.092, 0.418, 0.712) (multiplicity 4)
O (0.096, 0.087, 0.869) (multiplicity 4)
O (0.132, 0.115, 0.163) (multiplicity 4)
O (0.262, 0.406, 0.074) (multiplicity 4)
O (0.269, 0.053, 0.390) (multiplicity 4)
O (0.378, 0.384, 0.323) (multiplicity 4)
O (0.416, 0.370, 0.635) (multiplicity 4)
O (0.489, 0.296, 0.002) (multiplicity 4)

Most intense lines, 10° ≤ 2θ ≤ 90°, low angle first:
2θ (°)  intensity
13.36  100
15.23  96
16.89  34
19.79  37
22.70  43
24.39  26
25.88  60
27.24  37
28.31  78
29.15  37
31.06  55
37.06  33

No. 2
Computed X-ray powder pattern
Compound: K2CrF6
Radiation: CuKα
Structure: a structure optimized by DFT (GGA+U)

abc: 8.333 8.333 8.333
angles: 90.00 90.00 90.00
Space group Fm-3m (No. 225)
Symmetry-distinct sites (fractional):
K (0.250, 0.250, 0.250) (multiplicity 8)
Cr (0.000, 0.000, 0.000) (multiplicity 4)
F (0.000, 0.000, 0.224) (multiplicity 24)

Most intense lines, 10° ≤ 2θ ≤ 90°, low angle first:
2θ (°)  intensity
18.44  100
30.34  77
35.74  23
37.38  55
43.44  78
53.90  23
57.46  18
63.11  39
66.36  12
71.62  14
79.72  11
87.62  14

No. 3
Computed X-ray powder pattern
Compound: P3W2O13
Radiation: CuKα
Structure: a structure optimized by DFT (GGA+U)

abc: 6.452 7.546 11.318
angles: 76.41 86.24 79.75
Space group P-1 (No. 2)
Symmetry-distinct sites (fractional):
P (0.119, 0.475, 0.311) (multiplicity 2)
P (0.261, 0.798, 0.335) (multiplicity 2)
P (0.264, 0.935, 0.890) (multiplicity 2)
W (0.211, 0.210, 0.094) (multiplicity 2)
W (0.238, 0.200, 0.594) (multiplicity 2)
O (0.081, 0.787, 0.429) (multiplicity 2)
O (0.093, 0.809, 0.906) (multiplicity 2)
O (0.108, 0.454, 0.659) (multiplicity 2)
O (0.142, 0.377, 0.203) (multiplicity 2)
O (0.213, 0.375, 0.959) (multiplicity 2)
O (0.223, 0.099, 0.784) (multiplicity 2)
O (0.240, 0.647, 0.256) (multiplicity 2)
O (0.242, 0.987, 0.247) (multiplicity 2)
O (0.246, 0.350, 0.417) (multiplicity 2)
O (0.265, 0.002, 0.011) (multiplicity 2)
O (0.309, 0.977, 0.572) (multiplicity 2)
O (0.473, 0.732, 0.394) (multiplicity 2)
O (0.481, 0.809, 0.883) (multiplicity 2)

Most intense lines, 10° ≤ 2θ ≤ 90°, low angle first:
2θ (°)  intensity
12.24  27
16.97  98
17.91  78
20.10  40
21.15  54
21.64  23
22.43  100
24.62  28
26.24  46
28.12  52
35.23  26
37.32  20

No. 4
Computed X-ray powder pattern
Compound: Na2Ni4Mo4H5O20
Radiation: CuKα
Structure: a structure optimized by DFT (GGA+U)

abc: 5.871 7.776 9.229
angles: 80.71 79.62 87.68
Space group P-1 (No. 2)
Symmetry-distinct sites (fractional):
Na (0.247, 0.283, 0.251) (multiplicity 2)
Ni (0.000, 0.000, 0.000) (multiplicity 1)
Ni (0.218, 0.713, 0.291) (multiplicity 2)
Ni (0.500, 0.500, 0.500) (multiplicity 1)
Mo (0.203, 0.361, 0.844) (multiplicity 2)
Mo (0.310, 0.026, 0.646) (multiplicity 2)
H (0.000, 0.500, 0.500) (multiplicity 1)
H (0.170, 0.738, 0.583) (multiplicity 2)
H (0.306, 0.678, 0.891) (multiplicity 2)
O (0.049, 0.139, 0.768) (multiplicity 2)
O (0.082, 0.550, 0.184) (multiplicity 2)
O (0.112, 0.843, 0.629) (multiplicity 2)
O (0.187, 0.569, 0.488) (multiplicity 2)
O (0.188, 0.225, 0.019) (multiplicity 2)
O (0.282, 0.858, 0.935) (multiplicity 2)
O (0.365, 0.566, 0.846) (multiplicity 2)
O (0.395, 0.134, 0.452) (multiplicity 2)
O (0.448, 0.292, 0.690) (multiplicity 2)
O (0.458, 0.948, 0.822) (multiplicity 2)

Most intense lines, 10° ≤ 2θ ≤ 90°, low angle first:
2θ (°)  intensity
13.97  36
16.34  49
16.73  100
23.75  26
27.24  74
28.47  55
29.51  21
30.32  29
33.70  25
33.85  59
39.28  22
64.20  21

No. 5
Computed X-ray powder pattern
Compound: Cr6CuSi2Pb10O34
Radiation: CuKα
Structure: a structure optimized by DFT (GGA+U)

abc: 9.797 10.110 10.117
angles: 65.07 71.67 68.37
Space group P-1 (No. 2)
Symmetry-distinct sites (fractional):
Cr (0.034, 0.145, 0.279) (multiplicity 2)
Cr (0.223, 0.335, 0.488) (multiplicity 2)
Cr (0.265, 0.654, 0.018) (multiplicity 2)
Cu (0.500, 0.500, 0.500) (multiplicity 1)
Si (0.479, 0.834, 0.208) (multiplicity 2)
Pb (0.144, 0.753, 0.327) (multiplicity 2)
Pb (0.182, 0.472, 0.785) (multiplicity 2)
Pb (0.237, 0.032, 0.917) (multiplicity 2)
Pb (0.355, 0.832, 0.574) (multiplicity 2)
Pb (0.365, 0.239, 0.156) (multiplicity 2)
O (0.017, 0.982, 0.746) (multiplicity 2)
O (0.083, 0.272, 0.118) (multiplicity 2)
O (0.107, 0.413, 0.373) (multiplicity 2)
O (0.111, 0.768, 0.089) (multiplicity 2)
O (0.115, 0.764, 0.619) (multiplicity 2)
O (0.142, 0.240, 0.655) (multiplicity 2)
O (0.181, 0.061, 0.362) (multiplicity 2)
O (0.221, 0.535, 0.974) (multiplicity 2)
O (0.266, 0.472, 0.509) (multiplicity 2)
O (0.330, 0.883, 0.138) (multiplicity 2)
O (0.356, 0.771, 0.867) (multiplicity 2)
O (0.362, 0.240, 0.888) (multiplicity 2)
O (0.369, 0.555, 0.144) (multiplicity 2)
O (0.379, 0.218, 0.420) (multiplicity 2)
O (0.401, 0.558, 0.658) (multiplicity 2)
O (0.436, 0.717, 0.383) (multiplicity 2)
O (0.490, 0.018, 0.785) (multiplicity 2)

Most intense lines, 10° ≤ 2θ ≤ 90°, low angle first:
2θ (°)  intensity
17.85  55
19.86  36
22.15  26
25.90  28
26.59  100
27.36  57
28.50  32
28.64  55
30.00  43
30.72  29
31.51  25
47.47  21

No. 6
Computed X-ray powder pattern
Compound: Mn12O7F17
Radiation: CuKα
Structure: a structure optimized by DFT (GGA+U)

abc: 4.762 5.747 15.987
angles: 90.07 90.26 94.10
Space group P1 (No. 1)
Symmetry-distinct sites (fractional):
Mn (0.000, 0.000, 0.000) (multiplicity 1)
Mn (0.001, 0.975, 0.663) (multiplicity 1)
Mn (0.002, 0.997, 0.336) (multiplicity 1)
Mn (0.470, 0.514, 0.643) (multiplicity 1)
Mn (0.481, 0.178, 0.491) (multiplicity 1)
Mn (0.485, 0.173, 0.156) (multiplicity 1)
Mn (0.489, 0.173, 0.818) (multiplicity 1)
Mn (0.499, 0.496, 0.979) (multiplicity 1)
Mn (0.505, 0.498, 0.315) (multiplicity 1)
Mn (0.981, 0.673, 0.823) (multiplicity 1)
Mn (0.985, 0.673, 0.158) (multiplicity 1)
Mn (0.996, 0.676, 0.498) (multiplicity 1)
O (0.187, 0.722, 0.605) (multiplicity 1)
O (0.203, 0.940, 0.773) (multiplicity 1)
O (0.209, 0.941, 0.110) (multiplicity 1)
O (0.219, 0.940, 0.445) (multiplicity 1)
O (0.696, 0.450, 0.541) (multiplicity 1)
O (0.709, 0.442, 0.205) (multiplicity 1)
O (0.711, 0.440, 0.870) (multiplicity 1)
F (0.193, 0.713, 0.933) (multiplicity 1)
F (0.196, 0.713, 0.269) (multiplicity 1)
F (0.234, 0.219, 0.594) (multiplicity 1)
F (0.238, 0.439, 0.091) (multiplicity 1)
F (0.242, 0.431, 0.425) (multiplicity 1)
F (0.247, 0.440, 0.757) (multiplicity 1)
F (0.249, 0.216, 0.261) (multiplicity 1)
F (0.251, 0.214, 0.925) (multiplicity 1)
F (0.693, 0.214, 0.046) (multiplicity 1)
F (0.697, 0.212, 0.381) (multiplicity 1)
F (0.709, 0.207, 0.708) (multiplicity 1)
F (0.735, 0.711, 0.721) (multiplicity 1)
F (0.735, 0.954, 0.557) (multiplicity 1)
F (0.736, 0.941, 0.887) (multiplicity 1)
F (0.739, 0.938, 0.223) (multiplicity 1)
F (0.748, 0.716, 0.052) (multiplicity 1)
F (0.763, 0.710, 0.391) (multiplicity 1)

Most intense lines, 10° ≤ 2θ ≤ 90°, low angle first:
2θ (°)  intensity
23.45  50
25.19  39
28.89  100
30.28  47
30.40  45
33.64  17
35.56  31
39.35  20
41.49  19
51.12  39
51.42  25
51.68  27

No. 7
Computed X-ray powder pattern
Compound: Ni5SbP6O24
Radiation: CuKα
Structure: a structure optimized by DFT (GGA+U)

abc: 8.6529 8.6529 20.7310
angles: 90.00 90.00 120.00
Space group R3 (No. 146, hexagonal axes)
Symmetry-distinct sites (fractional):
Ni (0.0000, 0.0000, 0.0000) (multiplicity 3)
Ni (0.0000, 0.0000, 0.1381) (multiplicity 3)
Ni (0.0000, 0.0000, 0.3524) (multiplicity 3)
Ni (0.0000, 0.0000, 0.4938) (multiplicity 3)
Ni (0.0000, 0.0000, 0.6358) (multiplicity 3)
Sb (0.0000, 0.0000, 0.8520) (multiplicity 3)
P (0.0055, 0.7074, 0.2444) (multiplicity 9)
P (0.0366, 0.3682, 0.4100) (multiplicity 9)
O (0.0043, 0.7991, 0.3061) (multiplicity 9)
O (0.0062, 0.2013, 0.8070) (multiplicity 9)
O (0.0126, 0.8358, 0.9188) (multiplicity 9)
O (0.0145, 0.1817, 0.4214) (multiplicity 9)
O (0.1326, 0.6685, 0.8493) (multiplicity 9)
O (0.1401, 0.4647, 0.3502) (multiplicity 9)
O (0.1666, 0.4842, 0.7364) (multiplicity 9)
O (0.1673, 0.6788, 0.2348) (multiplicity 9)

Most intense lines, 10° ≤ 2θ ≤ 90°, low angle first:
2θ (°)  intensity
20.53  100
20.84  20
24.27  71
29.42  13
33.18  63
35.95  43
42.41  12
47.56  31
49.73  25
56.26  25
56.78  16
62.88  20

No. 8
Computed X-ray powder pattern
Compound: Li4Cr3GaO8
Radiation: CuKα
Structure: a structure optimized by DFT (GGA+U)

abc: 5.139 5.928 10.269
angles: 90.00 99.59 106.78
Space group P-1 (No. 2)
Symmetry-distinct sites (fractional):
Li (0.000, 0.000, 0.000) (multiplicity 1)
Li (0.000, 0.000, 0.500) (multiplicity 1)
Li (0.000, 0.250, 0.250) (multiplicity 2)
Li (0.000, 0.250, 0.750) (multiplicity 2)
Li (0.000, 0.500, 0.000) (multiplicity 1)
Li (0.000, 0.500, 0.500) (multiplicity 1)
Cr (0.500, 0.125, 0.375) (multiplicity 2)
Cr (0.500, 0.125, 0.875) (multiplicity 2)
Cr (0.500, 0.375, 0.125) (multiplicity 2)
Ga (0.500, 0.375, 0.625) (multiplicity 2)
O (0.274, 0.069, 0.689) (multiplicity 2)
O (0.274, 0.319, 0.440) (multiplicity 2)
O (0.274, 0.568, 0.190) (multiplicity 2)
O (0.274, 0.568, 0.689) (multiplicity 2)
O (0.274, 0.818, 0.439) (multiplicity 2)
O (0.275, 0.069, 0.190) (multiplicity 2)
O (0.275, 0.319, 0.940) (multiplicity 2)
O (0.275, 0.819, 0.940) (multiplicity 2)

Most intense lines, 10° ≤ 2θ ≤ 90°, low angle first:
2θ (°)  intensity
18.31  100
35.51  42
37.14  18
43.15  78
47.24  14
57.05  16
62.66  43
65.90  15
75.14  9
79.12  13
82.04  8
89.83  7